Record 1
Simulated X-ray powder pattern of KSr3C4O12 for Cu Kα (λ = 1.5418 Å), from a cell relaxed with PBE.
Neutral-atom scattering factors, no anomalous dispersion.

Cell and atoms:
```
data_KSr3C4O12
_cell_length_a 10.7121
_cell_length_b 10.7121
_cell_length_c 9.6418
_cell_angle_alpha 90.00
_cell_angle_beta 90.00
_cell_angle_gamma 120.00
_symmetry_space_group_name_H-M 'R 3 2'
_symmetry_Int_Tables_number 155
_symmetry_space_group_name_Hall 'R 3 2"'
loop_
_atom_site_label
_atom_site_type_symbol
_atom_site_fract_x
_atom_site_fract_y
_atom_site_fract_z
K1 K 0.0000 0.0000 0.0000
Sr1 Sr 0.0000 0.5276 0.0000
C1 C 0.0000 0.0000 0.5000
C2 C 0.0000 0.4749 0.5000
O1 O 0.0000 0.5965 0.5000
O2 O 0.0000 0.8787 0.5000
O3 O 0.0227 0.2142 0.8136
```

Main lines, most intense first (2θ from 10° to 90°):
hkl	2θ/deg	d [Å]	I/Imax
2 0 2	26.67	3.343	100
0 2 1	21.26	4.180	28
0 2 4	42.25	2.139	25
2 2 3	44.01	2.057	24
2 2 0	33.46	2.678	22
4 0 1	39.98	2.255	15
3 1 2	39.71	2.270	14
2 1 1	27.06	3.295	11
2 4 1	53.09	1.725	11
1 1 0	16.55	5.356	9

Record 2
Simulated X-ray powder pattern of K2TbC2O6 for Cu Kα (λ = 1.5418 Å), from a cell relaxed with PBE.
Neutral-atom scattering factors, no anomalous dispersion.

Cell and atoms:
```
data_K2TbC2O6
_cell_length_a 5.5796
_cell_length_b 5.5796
_cell_length_c 7.1592
_cell_angle_alpha 90.00
_cell_angle_beta 90.00
_cell_angle_gamma 120.00
_symmetry_space_group_name_H-M 'P -3 m 1'
_symmetry_Int_Tables_number 164
_symmetry_space_group_name_Hall '-P 3 2"'
loop_
_atom_site_label
_atom_site_type_symbol
_atom_site_fract_x
_atom_site_fract_y
_atom_site_fract_z
K1 K 0.3333 0.6667 0.3077
Tb1 Tb 0.0000 0.0000 0.0000
C1 C 0.3333 0.6667 0.8389
O1 O 0.1985 0.3969 0.8299
```

Main lines, most intense first (2θ from 10° to 90°):
hkl	2θ/deg	d [Å]	I/Imax
0 1 1	22.20	4.005	100
0 0 1	12.36	7.159	90
1 0 2	31.09	2.876	79
1 1 0	32.08	2.790	43
1 2 1	51.65	1.770	29
2 0 1	39.36	2.289	29
1 0 0	18.36	4.832	26
0 2 2	45.28	2.003	26
1 1 3	50.32	1.813	22
1 1 1	34.50	2.599	20

Record 3
Simulated X-ray powder pattern of KTcCO5 for Cu Kα (λ = 1.5418 Å), from a cell relaxed with PBE.
Neutral-atom scattering factors, no anomalous dispersion.

Cell and atoms:
```
data_KTcCO5
_cell_length_a 6.6050
_cell_length_b 8.5996
_cell_length_c 7.1981
_cell_angle_alpha 90.00
_cell_angle_beta 117.28
_cell_angle_gamma 90.00
_symmetry_space_group_name_H-M 'C 1 2/c 1'
_symmetry_Int_Tables_number 15
loop_
_symmetry_equiv_pos_as_xyz
'x,y,z'
'-x,-y,-z'
'-x,y,-z+1/2'
'x,-y,z+1/2'
'x+1/2,y+1/2,z'
'-x+1/2,-y+1/2,-z'
'-x+1/2,y+1/2,-z+1/2'
'x+1/2,-y+1/2,z+1/2'
loop_
_atom_site_label
_atom_site_type_symbol
_atom_site_fract_x
_atom_site_fract_y
_atom_site_fract_z
K1 K 0.0000 0.1630 0.2500
Tc1 Tc 0.0000 0.5000 0.0000
C1 C 0.0000 0.1945 0.7500
O1 O 0.0000 0.4464 0.2500
O2 O 0.0846 0.2815 0.6366
O3 O 0.1761 0.0929 0.8936
```

Main lines, most intense first (2θ from 10° to 90°):
hkl	2θ/deg	d [Å]	I/Imax
1 1 0	18.30	4.848	100
1 1 -2	26.96	3.307	99
1 3 0	34.83	2.576	58
2 0 0	30.46	2.935	56
0 2 2	34.96	2.566	40
2 4 -2	52.79	1.734	28
3 1 -2	42.99	2.104	27
2 2 2	55.58	1.653	26
2 2 -2	37.09	2.424	24
0 2 0	20.66	4.300	24